# Cs2SbBr4
Calculated X-ray powder pattern, CuKα. Input: a PBE-relaxed structure.
Lines closer than 0.1° are merged.

Most intense lines, 2θ from 10° to 80°, by intensity:
index  2theta  I_rel
1 1 2  23.90  100.0
2 0 2  28.31  96.5
2 2 0  30.17  93.4
3 1 2  38.85  53.2
1 0 1  14.05  49.5
2 2 4  48.93  47.3
4 0 0  43.20  33.6
4 2 2  52.45  31.4

Atomic structure:
a b c (Å): 8.378 8.378 9.572
angles (deg): 90.00 90.00 90.00
Space group I4/mmm (No. 139)
Unique sites:
Cs 0.000 0.500 0.250
Sb 0.000 0.000 0.000
Br 0.239 0.239 0.000

=====

# Rb4NaAu
Calculated X-ray powder pattern, CuKα. Input: a PBE-relaxed structure.
Lines closer than 0.1° are merged.

Most intense lines, 2θ from 10° to 80°, by intensity:
index  2theta  I_rel
0 2 0  10.56  100.0
2 2 1  25.90  97.4
1 3 -2  27.36  70.2
3 1 -1  24.26  63.4
1 3 2  32.07  52.3
2 2 -2  26.02  47.5
1 1 2  28.25  46.1
2 4 0  27.08  42.6

Atomic structure:
a b c (Å): 11.399 16.753 8.030
angles (deg): 90.00 110.36 90.00
Space group C2/c (No. 15)
Unique sites:
Rb 0.104 0.164 0.056
Rb 0.227 0.423 0.369
Na 0.000 0.374 0.750
Au 0.000 0.001 0.750